Entry 1:
Simulated PXRD pattern
Compound: Cs4Hf3Se14
Radiation: Cu Kα, 1.54184 Å
Structure: DFT lattice parameters and positions (GGA-PBE)
Peak positions follow from Bragg's law for the DFT cell and can differ from measured ones.

Principal peaks in the range 5° ≤ 2θ ≤ 70°, in order of rising 2θ:
2θ/deg, I_rel
11.68, 100
12.52, 50
19.80, 27
21.29, 31
26.19, 36
26.86, 44
31.29, 21
35.54, 26

Structural model:
```
Cs4Hf3Se14
1.0
11.424 -4.485 0.000
11.424 4.485 0.000
-5.566 0.000 13.618
Cs Hf Se
8 6 28
direct
0.121 0.478 0.391
0.185 0.688 0.847
0.312 0.815 0.653
0.478 0.121 0.891
0.522 0.879 0.109
0.688 0.185 0.347
0.815 0.312 0.153
0.879 0.522 0.609
0.090 0.575 0.086
0.261 0.739 0.250
0.425 0.910 0.414
0.575 0.090 0.586
0.739 0.261 0.750
0.910 0.425 0.914
0.040 0.834 0.080
0.044 0.754 0.278
0.064 0.498 0.898
0.105 0.188 0.393
0.166 0.960 0.420
0.188 0.105 0.893
0.246 0.956 0.222
0.298 0.629 0.399
0.306 0.342 0.664
0.342 0.306 0.164
0.371 0.702 0.101
0.404 0.436 0.133
0.436 0.404 0.633
0.498 0.064 0.398
0.502 0.936 0.602
0.564 0.596 0.367
0.596 0.564 0.867
0.629 0.298 0.899
0.658 0.694 0.836
0.694 0.658 0.336
0.702 0.371 0.601
0.754 0.044 0.778
0.812 0.895 0.107
0.834 0.040 0.580
0.895 0.812 0.607
0.936 0.502 0.102
0.956 0.246 0.722
0.960 0.166 0.920
```

=====

Entry 2:
Simulated PXRD pattern
Compound: Sm2Ni2C3N
Radiation: Cu Kα, 1.54184 Å
Structure: DFT lattice parameters and positions (GGA-PBE)
Peak positions follow from Bragg's law for the DFT cell and can differ from measured ones.

Principal peaks in the range 5° ≤ 2θ ≤ 70°, in order of rising 2θ:
2θ/deg, I_rel
27.61, 100
34.73, 68
36.18, 46
37.47, 68
43.16, 59
50.93, 41
58.91, 27
64.06, 34

Structural model:
```
Sm2Ni2C3N
1.0
3.586 0.000 0.000
0.000 3.586 0.000
0.000 0.000 7.448
Sm Ni C N
2 2 3 1
direct
0.000 0.000 0.000
0.500 0.500 0.343
0.000 0.500 0.664
0.500 0.000 0.664
0.000 0.000 0.513
0.500 0.500 0.011
0.500 0.500 0.825
0.000 0.000 0.328
```

=====

Entry 3:
Simulated PXRD pattern
Compound: BaGa2Ir
Radiation: Cu Kα, 1.54184 Å
Structure: DFT lattice parameters and positions (GGA-PBE)
Peak positions follow from Bragg's law for the DFT cell and can differ from measured ones.

Principal peaks in the range 5° ≤ 2θ ≤ 70°, in order of rising 2θ:
2θ/deg, I_rel
21.63, 18
25.03, 2
35.69, 100
42.12, 10
51.37, 18
56.37, 4
64.12, 36
68.53, 3

Structural model:
```
BaGa2Ir
1.0
0.000 3.558 3.558
3.558 0.000 3.558
3.558 3.558 0.000
Ba Ga Ir
1 2 1
direct
0.000 0.000 0.000
0.500 0.500 0.500
0.750 0.750 0.750
0.250 0.250 0.250
```

=====

Entry 4:
Simulated PXRD pattern
Compound: TePd14
Radiation: Cu Kα, 1.54184 Å
Structure: DFT lattice parameters and positions (GGA-PBE)
Peak positions follow from Bragg's law for the DFT cell and can differ from measured ones.

Principal peaks in the range 5° ≤ 2θ ≤ 70°, in order of rising 2θ:
2θ/deg, I_rel
5.70, 71
37.81, 23
38.96, 18
39.95, 100
46.16, 37
47.06, 16
67.34, 13
68.05, 19

Structural model:
```
TePd14
1.0
6.119 0.000 0.000
0.000 3.933 0.000
-0.358 0.000 31.027
Te Pd
2 28
direct
0.159 0.250 0.210
0.841 0.750 0.790
0.047 0.750 0.265
0.050 0.750 0.469
0.052 0.750 0.673
0.148 0.250 0.408
0.151 0.250 0.611
0.250 0.750 0.348
0.250 0.750 0.550
0.250 0.750 0.759
0.348 0.250 0.694
0.349 0.250 0.490
0.360 0.250 0.287
0.449 0.750 0.429
0.450 0.750 0.632
0.454 0.750 0.223
0.546 0.250 0.777
0.550 0.250 0.368
0.551 0.250 0.571
0.640 0.750 0.713
0.651 0.750 0.510
0.652 0.750 0.306
0.750 0.250 0.241
0.750 0.250 0.450
0.750 0.250 0.652
0.849 0.750 0.389
0.852 0.750 0.592
0.948 0.250 0.327
0.950 0.250 0.531
0.953 0.250 0.735
```